Diffraction record for Co3C2Se2O10. The powder X-ray diffraction pattern is theoretical, not measured: it uses a structure optimized by DFT (PBE+U) and copper Kα.
Kinematic intensities with the Lorentz-polarization factor, no thermal factor.

Principal peaks in the range 10° ≤ 2θ ≤ 90°, by intensity:
2θ (°)  intensity
26.9  100
24.5  48
35.4  47
12.6  43
34.1  33
52.8  33
34.8  29
25.3  21
53.2  21
32.0  18

Atomic structure:
```
Co3C2Se2O10
1.0
4.651 -3.314 0.000
4.651 3.314 0.000
-3.685 0.000 7.033
Co C Se O
3 2 2 10
direct
0.000 0.000 0.000 Co
0.308 0.308 0.820 Co
0.692 0.692 0.180 Co
0.043 0.043 0.436 C
0.957 0.957 0.564 C
0.342 0.342 0.258 Se
0.658 0.658 0.742 Se
0.007 0.383 0.153 O
0.050 0.050 0.743 O
0.196 0.196 0.519 O
0.383 0.007 0.153 O
0.441 0.441 0.121 O
0.559 0.559 0.879 O
0.617 0.993 0.847 O
0.804 0.804 0.481 O
0.950 0.950 0.257 O
0.993 0.617 0.847 O
```